Starting from the GGA+U geometry in Alexandria, the powder diffraction line list of SrLaTiFeO6 was simulated for Cu Kα (weighted mean of Kα1 and Kα2).
No peak broadening, texture or thermal motion is included.

Cell and atoms:
```
10
Lattice="0.000 3.086 8.942 3.079 0.000 8.942 3.079 3.086 0.000" Properties=species:S:1:pos:R:3 pbc="T T T"
Sr 0.000 0.000 0.000
La 3.079 3.086 6.882
Ti 3.079 3.086 12.377
Fe 3.079 3.086 3.407
O 3.079 1.583 11.315
O 1.539 1.543 7.789
O 4.601 3.086 13.426
O 3.079 4.589 11.315
O 4.618 4.629 16.731
O 1.556 3.086 13.426
```

Main lines, low angle first (10 to 90 degrees two-theta):
2θ/deg  Rel. int.
19.86  45
20.98  43
25.31  100
28.97  87
32.38  78
41.43  33
42.17  51
49.17  32
53.54  37
59.78  27